Diffraction record for CaTaPbO6. The XRD peak list is simulated, not measured: it uses the GGA-PBE geometry in Alexandria and a wavelength of 1.5418 Å.
Peak positions follow from Bragg's law for the DFT cell and can differ from measured ones.

Main lines, by angle (2θ = 10–90°):
2theta  I (rel.)
18.09  86
18.35  49
25.88  100
32.06  74
37.06  84
41.65  27
49.48  68
53.51  27
57.16  25
60.47  22

Crystal structure
```
data_CaTaPbO6
_cell_length_a 5.5828
_cell_length_b 5.5828
_cell_length_c 9.8074
_cell_angle_alpha 90.00
_cell_angle_beta 90.00
_cell_angle_gamma 120.00
_symmetry_space_group_name_H-M 'P -3 1 c'
_symmetry_Int_Tables_number 163
_symmetry_space_group_name_Hall '-P 3 2c'
loop_
_atom_site_label
_atom_site_type_symbol
_atom_site_fract_x
_atom_site_fract_y
_atom_site_fract_z
_atom_site_occupancy
Ca1 Ca 0.0000 0.0000 0.0000 1
Ta1 Ta 0.3333 0.6667 0.2500 1
Pb1 Pb 0.3333 0.6667 0.7500 1
O1 O 0.0269 0.3738 0.1363 1
```